Co2ClF3: theoretical PXRD pattern (Cu Kα (λ = 1.5418 Å)), based on DFT lattice parameters and positions (GGA+U).
Neutral-atom scattering factors, no anomalous dispersion.

Lattice parameters (Å, degrees): 6.4746 6.4746 11.1296 113.34 113.34 29.48
Fractional positions:
Co: 0.2322 0.2322 0.3691
Co: 0.2672 0.2672 0.8855
Co: 0.7328 0.7328 0.1145
Co: 0.7678 0.7678 0.6309
Cl: 0.3997 0.3997 0.7757
Cl: 0.6003 0.6003 0.2243
F: 0.1638 0.1638 0.9896
F: 0.1767 0.1767 0.5216
F: 0.3100 0.3100 0.2376
F: 0.6900 0.6900 0.7624
F: 0.8233 0.8233 0.4784
F: 0.8362 0.8362 0.0104

Peak list (10 most intense, 2θ = 10–80°, by intensity)
d_spacing, 2theta, I (rel.)
5.712, 15.5, 1000
2.559, 35.1, 367
2.031, 44.6, 188
2.463, 36.5, 175
1.615, 57.0, 111
1.568, 58.9, 106
2.833, 31.6, 99
6.175, 14.3, 74
1.647, 55.8, 64
1.993, 45.5, 63